No. 1
Calculated powder XRD pattern
Compound: Y4P6Rh7
Radiation: a wavelength of 1.5418 Å
Structure: the GGA-PBE geometry in Alexandria

Cell and atoms:
Cell lengths 8.2126, 8.2126, 8.2126 Å; angles 90.00, 90.00, 90.00 degrees
Space group Im-3m (No. 229)
Inequivalent atoms, fractional coordinates:
Y  0.2500  0.2500  0.2500
P  0.0000  0.0000  0.3252
Rh  0.0000  0.0000  0.0000
Rh  0.0000  0.2500  0.5000

Top 12 peaks for 2θ = 10–90°, low angle first:
2θ (°), I (rel.), h k l
15.26, 15, 1 1 0
26.59, 39, 2 1 1
30.79, 16, 2 2 0
37.95, 100, 2 2 2
41.13, 47, 3 2 1
44.11, 71, 4 0 0
52.24, 19, 3 3 2
64.15, 39, 4 4 0
70.71, 13, 6 1 1
77.02, 30, 6 2 2
79.09, 11, 6 3 1
81.14, 12, 4 4 4


No. 2
Calculated powder XRD pattern
Compound: La4Dy2HoSc
Radiation: a wavelength of 1.5418 Å
Structure: the GGA-PBE geometry in Alexandria

Cell and atoms:
Cell lengths 5.2005, 5.2167, 9.7568 Å; angles 90.00, 90.00, 90.00 degrees
Space group Pmmm (No. 47)
Inequivalent atoms, fractional coordinates:
La  0.0000  0.0000  0.2454
La  0.5000  0.5000  0.2456
Dy  0.0000  0.5000  0.0000
Dy  0.5000  0.0000  0.5000
Ho  0.0000  0.5000  0.5000
Sc  0.5000  0.0000  0.0000

Top 12 peaks for 2θ = 10–90°, low angle first:
2θ (°), I (rel.), h k l
30.41, 100, 1 1 2
34.38, 18, 0 2 0
34.49, 18, 2 0 0
36.85, 15, 0 0 4
49.50, 13, 2 2 0
51.32, 23, 2 0 4
59.14, 15, 1 3 2
59.28, 15, 3 1 2
62.43, 13, 1 1 6
63.27, 12, 2 2 4
80.71, 6, 3 3 2
83.49, 6, 1 3 6


No. 3
Calculated powder XRD pattern
Compound: HoCo2H7
Radiation: a wavelength of 1.5418 Å
Structure: the GGA-PBE geometry in Alexandria

Cell and atoms:
Cell lengths 4.9839, 8.0693, 3.4369 Å; angles 90.00, 90.00, 90.00 degrees
Space group Cmmm (No. 65)
Inequivalent atoms, fractional coordinates:
Ho  0.0000  0.0000  0.0000
Co  0.0000  0.3045  0.5000
H  0.0000  0.3067  0.0000
H  0.0000  0.5000  0.5000
H  0.1880  0.1399  0.5000

Top 12 peaks for 2θ = 10–90°, low angle first:
2θ (°), I (rel.), h k l
20.95, 55, 1 1 0
33.56, 100, 1 1 1
34.27, 75, 0 2 1
36.04, 41, 2 0 0
38.01, 62, 1 3 0
50.58, 49, 2 2 1
53.31, 14, 0 0 2
63.23, 16, 3 1 1
66.07, 25, 2 0 2
66.72, 25, 1 5 1
67.34, 22, 1 3 2
89.29, 12, 3 5 1


No. 4
Calculated powder XRD pattern
Compound: Pm3PdI3
Radiation: a wavelength of 1.5418 Å
Structure: the GGA-PBE geometry in Alexandria

Cell and atoms:
Cell lengths 9.3097, 4.2166, 12.5760 Å; angles 90.00, 91.80, 90.00 degrees
Space group P2_1/m (No. 11)
Inequivalent atoms, fractional coordinates:
Pm  0.1030  0.2500  0.3808
Pm  0.1150  0.2500  0.8465
Pm  0.3111  0.7500  0.6196
Pd  0.1064  0.2500  0.6189
I  0.1424  0.2500  0.1129
I  0.3755  0.7500  0.8738
I  0.3930  0.7500  0.3672

Top 12 peaks for 2θ = 10–90°, low angle first:
2θ (°), I (rel.), h k l
28.40, 52, 0 0 4
28.57, 100, 2 1 0
31.77, 9, 3 0 -2
38.71, 15, 4 0 0
40.27, 36, 2 1 -4
41.17, 32, 2 1 4
42.90, 19, 0 2 0
47.92, 7, 4 0 -4
52.25, 19, 0 2 4
59.14, 9, 4 2 0
69.92, 8, 2 3 0
77.42, 8, 2 3 4